This entry pairs a crystal structure of Pm2FeP4Ir3 with its simulated XRD peak list. Radiation: Cu Kα X-rays. Structure: a DFT-relaxed cell (PBE, Alexandria).

Cell and atoms:
```
Pm2FeP4Ir3
1.0
4.147 0.000 0.000
0.000 4.147 0.000
0.000 0.000 9.500
Pm Fe P Ir
2 1 4 3
Direct
0.000 0.500 0.245 Pm
0.500 0.000 0.755 Pm
0.000 0.000 0.500 Fe
0.000 0.000 0.000 P
0.000 0.500 0.630 P
0.500 0.000 0.370 P
0.500 0.500 0.000 P
0.000 0.500 0.884 Ir
0.500 0.000 0.116 Ir
0.500 0.500 0.500 Ir
```

Top 12 peaks for 2θ = 10–90°, in order of rising 2θ:
2θ (°)	I_rel	(hkl)
28.57	42.6	1 0 2
30.48	31.9	1 1 0
31.94	59.6	1 1 1
35.67	100.0	1 0 3
35.99	73.3	1 1 2
43.65	72.5	2 0 0
49.38	18.5	1 1 4
53.01	38.5	1 0 5
57.59	50.5	2 1 3
63.44	23.8	2 2 0
67.19	18.4	1 1 6
71.02	22.0	2 1 5

=====

This entry pairs a crystal structure of Pa2FeSi4Ir3 with its simulated XRD peak list. Radiation: Cu Kα X-rays. Structure: a DFT-relaxed cell (PBE, Alexandria).

Cell and atoms:
```
Pa2FeSi4Ir3
1.0
4.100 0.000 0.000
0.000 4.100 0.000
0.000 0.000 9.781
Pa Fe Si Ir
2 1 4 3
Direct
0.000 0.500 0.242 Pa
0.500 0.000 0.758 Pa
0.500 0.500 0.000 Fe
0.000 0.000 0.500 Si
0.000 0.500 0.874 Si
0.500 0.000 0.126 Si
0.500 0.500 0.500 Si
0.000 0.000 0.000 Ir
0.000 0.500 0.630 Ir
0.500 0.000 0.370 Ir
```

Top 12 peaks for 2θ = 10–90°, in order of rising 2θ:
2θ (°)	I_rel	(hkl)
28.41	45.3	1 0 2
30.84	41.5	1 1 0
32.20	32.7	1 1 1
35.17	95.0	1 0 3
36.01	100.0	1 1 2
44.18	66.1	2 0 0
51.78	37.7	1 0 5
53.36	16.6	2 1 2
57.68	47.0	2 1 3
64.26	21.9	2 2 0
70.38	30.6	2 1 5
75.93	23.4	3 1 2

=====

This entry pairs a crystal structure of Fe2IrPb with its simulated XRD peak list. Radiation: Cu Kα X-rays. Structure: a DFT-relaxed cell (PBE, Alexandria).

Cell and atoms:
```
Fe2IrPb
1.0
8.760 0.000 0.000
0.000 3.041 0.000
-1.101 0.000 4.844
Fe Ir Pb
4 2 2
Direct
0.000 0.000 0.000 Fe
0.224 0.500 0.200 Fe
0.500 0.500 0.000 Fe
0.724 0.000 0.200 Fe
0.258 0.000 0.789 Ir
0.758 0.500 0.789 Ir
0.492 0.000 0.486 Pb
0.992 0.500 0.486 Pb
```

Top 12 peaks for 2θ = 10–90°, in order of rising 2θ:
2θ (°)	I_rel	(hkl)
18.31	20.6	0 0 1
24.54	26.9	2 0 -1
30.83	30.1	2 0 1
31.22	31.2	1 1 0
37.65	100.0	1 1 1
38.45	47.4	2 0 -2
42.32	43.2	4 0 0
44.57	66.4	3 1 -1
47.05	21.5	2 0 2
47.31	18.5	1 1 -2
64.07	20.9	1 1 -3
76.98	16.0	4 2 0

=====

This entry pairs a crystal structure of Fe3Ir2Pd with its simulated XRD peak list. Radiation: Cu Kα X-rays. Structure: a DFT-relaxed cell (PBE, Alexandria).

Cell and atoms:
```
Fe3Ir2Pd
1.0
2.699 0.000 0.000
0.000 2.699 0.000
0.000 0.000 11.030
Fe Ir Pd
3 2 1
Direct
0.000 0.000 0.000 Fe
0.000 0.000 0.328 Fe
0.000 0.000 0.672 Fe
0.500 0.500 0.161 Ir
0.500 0.500 0.839 Ir
0.500 0.500 0.500 Pd
```

Top 12 peaks for 2θ = 10–90°, in order of rising 2θ:
2θ (°)	I_rel	(hkl)
24.21	21.7	0 0 3
33.20	20.0	1 0 0
41.51	100.0	1 0 3
47.66	33.7	1 1 0
49.59	14.4	0 0 6
54.15	10.6	1 1 3
60.98	7.3	1 0 6
69.69	10.6	2 0 0
71.23	19.1	1 1 6
74.98	4.3	2 0 3
84.49	25.0	2 1 3
87.40	10.8	1 0 9